1.
# Sn2PtClF
Simulated powder XRD pattern, CuKα. Input: DFT lattice parameters and positions (PBE).
Kinematic intensities with the Lorentz-polarization factor, no thermal factor.

Structure:
a b c (Å): 5.326 5.326 4.047
angles (deg): 90.00 90.00 90.00
Space group P4/mmm (No. 123)
Symmetry-distinct sites (fractional):
Sn: 0.000 0.500 0.000 x2
Pt: 0.000 0.000 0.500 x1
Cl: 0.500 0.500 0.000 x1
F: 0.500 0.500 0.500 x1

Most intense lines, 15° ≤ 2θ ≤ 90°, low angle first:
| 2θ (°) | intensity | (hkl) |
| --- | --- | --- |
| 16.6 | 24 | 1 0 0 |
| 27.7 | 37 | 1 0 1 |
| 32.5 | 100 | 1 1 1 |
| 33.7 | 63 | 2 0 0 |
| 44.1 | 21 | 2 1 1 |
| 44.8 | 14 | 0 0 2 |
| 48.3 | 23 | 2 2 0 |
| 57.2 | 27 | 2 0 2 |
| 59.4 | 37 | 3 1 1 |
| 68.0 | 16 | 2 2 2 |

***

2.
# PuClF4
Simulated powder XRD pattern, CuKα. Input: DFT lattice parameters and positions (PBE).
Kinematic intensities with the Lorentz-polarization factor, no thermal factor.

Structure:
a b c (Å): 5.363 10.153 6.205
angles (deg): 90.00 124.30 90.00
Space group P2_1/c (No. 14)
Symmetry-distinct sites (fractional):
Pu: 0.000 0.000 0.000 x2
Cl: 0.500 0.000 0.000 x2
F: 0.121 0.174 0.185 x4
F: 0.226 0.593 0.845 x4

Most intense lines, 15° ≤ 2θ ≤ 90°, low angle first:
| 2θ (°) | intensity | (hkl) |
| --- | --- | --- |
| 17.5 | 66 | 0 2 0 |
| 19.4 | 100 | 0 1 1 |
| 19.7 | 81 | 1 1 -1 |
| 20.0 | 37 | 1 0 0 |
| 26.7 | 23 | 1 2 0 |
| 31.7 | 30 | 0 3 1 |
| 35.0 | 43 | 2 1 -1 |
| 39.4 | 19 | 0 2 2 |
| 39.9 | 16 | 2 2 -2 |
| 46.2 | 17 | 2 1 -3 |

***

3.
# PuClF6
Simulated powder XRD pattern, CuKα. Input: DFT lattice parameters and positions (PBE).
Kinematic intensities with the Lorentz-polarization factor, no thermal factor.

Structure:
a b c (Å): 5.991 9.103 5.974
angles (deg): 90.00 102.06 90.00
Space group C2/m (No. 12)
Symmetry-distinct sites (fractional):
Pu: 0.000 0.000 0.000 x2
Cl: 0.000 0.500 0.500 x2
F: 0.074 0.156 0.789 x8
F: 0.129 0.500 0.817 x4

Most intense lines, 15° ≤ 2θ ≤ 90°, low angle first:
| 2θ (°) | intensity | (hkl) |
| --- | --- | --- |
| 15.2 | 76 | 0 0 1 |
| 18.0 | 83 | 1 1 0 |
| 19.5 | 65 | 0 2 0 |
| 21.5 | 100 | 1 1 -1 |
| 24.8 | 38 | 0 2 1 |
| 25.6 | 58 | 1 1 1 |
| 30.5 | 35 | 2 0 0 |
| 35.3 | 34 | 1 3 -1 |
| 36.5 | 46 | 0 2 2 |
| 37.1 | 26 | 2 0 1 |

***

4.
# PuCl4F
Simulated powder XRD pattern, CuKα. Input: DFT lattice parameters and positions (PBE).
Kinematic intensities with the Lorentz-polarization factor, no thermal factor.

Structure:
a b c (Å): 9.456 9.456 4.473
angles (deg): 90.00 90.00 90.00
Space group I4/m (No. 87)
Symmetry-distinct sites (fractional):
Pu: 0.000 0.000 0.000 x2
Cl: 0.060 0.746 0.000 x8
F: 0.000 0.000 0.500 x2

Most intense lines, 15° ≤ 2θ ≤ 90°, low angle first:
| 2θ (°) | intensity | (hkl) |
| --- | --- | --- |
| 18.8 | 49 | 2 0 0 |
| 22.0 | 100 | 1 0 1 |
| 29.1 | 29 | 2 1 1 |
| 29.9 | 45 | 3 1 0 |
| 34.8 | 25 | 3 0 1 |
| 39.8 | 21 | 3 2 1 |
| 42.8 | 20 | 2 4 0 |
| 44.4 | 33 | 4 1 1 |
| 51.0 | 20 | 3 1 2 |
| 52.5 | 21 | 3 4 1 |

***

5.
# PuCl2F4
Simulated powder XRD pattern, CuKα. Input: DFT lattice parameters and positions (PBE).
Kinematic intensities with the Lorentz-polarization factor, no thermal factor.

Structure:
a b c (Å): 3.752 4.594 9.136
angles (deg): 88.13 78.73 89.65
Space group P-1 (No. 2)
Symmetry-distinct sites (fractional):
Pu: 0.000 0.000 0.000 x1
Cl: 0.412 0.708 0.498 x2
F: 0.062 0.367 0.863 x2
F: 0.442 0.142 0.120 x2

Most intense lines, 15° ≤ 2θ ≤ 90°, low angle first:
| 2θ (°) | intensity | (hkl) |
| --- | --- | --- |
| 19.3 | 49 | 0 1 0 |
| 19.8 | 100 | 0 0 2 |
| 21.5 | 58 | 0 1 1 |
| 22.0 | 52 | 0 1 -1 |
| 24.3 | 57 | 1 0 1 |
| 28.0 | 40 | 1 0 -1 |
| 28.3 | 34 | 0 1 -2 |
| 31.1 | 28 | 1 1 0 |
| 34.0 | 53 | 1 1 2 |
| 46.7 | 31 | -1 1 3 |

***

6.
# RbCl2F2
Simulated powder XRD pattern, CuKα. Input: DFT lattice parameters and positions (PBE).
Kinematic intensities with the Lorentz-polarization factor, no thermal factor.

Structure:
a b c (Å): 4.6256 4.6256 8.1227
angles (deg): 90.00 90.00 120.00
Space group P-3m1 (No. 164)
Symmetry-distinct sites (fractional):
Rb: 0.0000 0.0000 0.0000 x1
Cl: 0.3333 0.6667 0.3598 x2
F: 0.3333 0.6667 0.1200 x2

Most intense lines, 15° ≤ 2θ ≤ 90°, low angle first:
| 2θ (°) | intensity | (hkl) |
| --- | --- | --- |
| 24.8 | 100 | 0 1 1 |
| 31.4 | 34 | 1 0 2 |
| 38.9 | 39 | 1 1 0 |
| 40.2 | 14 | 0 1 3 |
| 40.6 | 9 | 1 1 1 |
| 46.7 | 16 | 2 0 1 |
| 50.4 | 18 | 0 1 4 |
| 52.0 | 13 | 1 1 3 |
| 62.4 | 13 | 1 2 1 |
| 78.9 | 9 | 1 2 4 |

***

What did the second record say?
# PuClF4
Simulated powder XRD pattern, CuKα. Input: DFT lattice parameters and positions (PBE).
Kinematic intensities with the Lorentz-polarization factor, no thermal factor.

Structure:
a b c (Å): 5.363 10.153 6.205
angles (deg): 90.00 124.30 90.00
Space group P2_1/c (No. 14)
Symmetry-distinct sites (fractional):
Pu: 0.000 0.000 0.000 x2
Cl: 0.500 0.000 0.000 x2
F: 0.121 0.174 0.185 x4
F: 0.226 0.593 0.845 x4

Most intense lines, 15° ≤ 2θ ≤ 90°, low angle first:
| 2θ (°) | intensity | (hkl) |
| --- | --- | --- |
| 17.5 | 66 | 0 2 0 |
| 19.4 | 100 | 0 1 1 |
| 19.7 | 81 | 1 1 -1 |
| 20.0 | 37 | 1 0 0 |
| 26.7 | 23 | 1 2 0 |
| 31.7 | 30 | 0 3 1 |
| 35.0 | 43 | 2 1 -1 |
| 39.4 | 19 | 0 2 2 |
| 39.9 | 16 | 2 2 -2 |
| 46.2 | 17 | 2 1 -3 |